This entry pairs a crystal structure of Tb2MgHg5 with its computed powder diffractogram. Radiation: copper Kα. Structure: the GGA-PBE geometry in Alexandria.
Neutral-atom scattering factors, no anomalous dispersion.

Most intense lines, 15° ≤ 2θ ≤ 90°, by intensity:
2θ/deg  d/Å  intensity
34.50  2.599  100
35.76  2.511  46
63.45  1.466  35
60.99  1.519  19
51.47  1.775  16
72.76  1.300  12
47.67  1.908  10
80.15  1.197  9
85.98  1.131  8
18.60  4.770  8

Lattice parameters (Å, degrees): 5.0218 5.0218 15.2629 90.00 90.00 90.00
Space group I4/mmm (No. 139)
Unique sites:
Tb 0.0000 0.0000 0.2466
Mg 0.0000 0.0000 0.5000
Hg 0.0000 0.0000 0.0000
Hg 0.0000 0.5000 0.1211



This entry pairs a crystal structure of Cs6PtI2O with its computed powder diffractogram. Radiation: copper Kα. Structure: the GGA-PBE geometry in Alexandria.
Neutral-atom scattering factors, no anomalous dispersion.

Most intense lines, 15° ≤ 2θ ≤ 90°, by intensity:
2θ/deg  d/Å  intensity
28.39  3.144  100
40.60  2.222  49
24.77  3.594  44
24.27  3.667  41
66.53  1.405  17
50.80  1.797  13
41.19  2.192  13
48.38  1.881  12
31.16  2.871  10
49.73  1.833  9

Lattice parameters (Å, degrees): 8.7671 12.5599 9.0329 90.00 90.00 90.00
Space group Pmmn (No. 59, origin choice 2)
Unique sites:
Cs 0.0042 0.2500 0.0427
Cs 0.0166 0.2500 0.5026
Cs 0.2500 0.0144 0.2711
Pt 0.2500 0.7500 0.2313
I 0.2500 0.5116 0.7245
O 0.2500 0.2500 0.2608